No. 1
Simulated powder X-ray diffraction pattern
Compound: AcIn4Ag4
Radiation: a wavelength of 1.5418 Å
Structure: a cell relaxed with GGA-PBE
Kinematic intensities with the Lorentz-polarization factor, no thermal factor.

Principal peaks in the range 15 to 90 degrees two-theta, in order of rising 2θ:
hkl 1 2 1, 2θ = 27.6°, I 64
hkl 1 3 0, 2θ = 30.1°, I 49
hkl 3 0 1, 2θ = 33.7°, I 62
hkl 0 0 2, 2θ = 35.5°, I 49
hkl 3 2 1, 2θ = 38.9°, I 100
hkl 1 3 2, 2θ = 47.2°, I 28
hkl 1 5 0, 2θ = 49.5°, I 20
hkl 4 5 1, 2θ = 66.3°, I 20

Cell and atoms:
abc: 9.3975 9.3975 5.0588
angles: 90.00 90.00 90.00
Space group I4/m (No. 87)
Unique sites:
Ac  0.0000  0.0000  0.0000 (multiplicity 2)
In  0.1001  0.3674  0.0000 (multiplicity 8)
Ag  0.1070  0.2057  0.5000 (multiplicity 8)

No. 2
Simulated powder X-ray diffraction pattern
Compound: Pr4TlHg2Pb
Radiation: a wavelength of 1.5418 Å
Structure: a cell relaxed with GGA-PBE
Kinematic intensities with the Lorentz-polarization factor, no thermal factor.

Principal peaks in the range 15 to 90 degrees two-theta, in order of rising 2θ:
hkl 0 1 8, 2θ = 32.3°, I 99
hkl 1 1 0, 2θ = 32.4°, I 100
hkl 2 0 8, 2θ = 46.5°, I 37
hkl 1 0 16, 2θ = 57.6°, I 19
hkl 3 0 0, 2θ = 57.8°, I 58
hkl 2 2 0, 2θ = 67.9°, I 12
hkl 2 1 16, 2θ = 77.1°, I 16
hkl 3 1 8, 2θ = 77.2°, I 17

Cell and atoms:
abc: 5.5205 5.5205 27.1712
angles: 90.00 90.00 120.00
Space group R-3m (No. 166, hexagonal axes)
Unique sites:
Pr  0.0000  0.0000  0.1243 (multiplicity 6)
Pr  0.0000  0.0000  0.3747 (multiplicity 6)
Tl  0.0000  0.0000  0.5000 (multiplicity 3)
Hg  0.0000  0.0000  0.2456 (multiplicity 6)
Pb  0.0000  0.0000  0.0000 (multiplicity 3)

No. 3
Simulated powder X-ray diffraction pattern
Compound: Pr8Nd2Ho3
Radiation: a wavelength of 1.5418 Å
Structure: a cell relaxed with GGA-PBE
Kinematic intensities with the Lorentz-polarization factor, no thermal factor.

Principal peaks in the range 15 to 90 degrees two-theta, in order of rising 2θ:
hkl 2 2 0, 2θ = 24.5°, I 23
hkl 1 5 1, 2θ = 28.8°, I 41
hkl 0 6 1, 2θ = 30.0°, I 36
hkl 0 0 2, 2θ = 31.0°, I 44
hkl 2 4 1, 2θ = 32.7°, I 100
hkl 2 2 2, 2θ = 39.9°, I 13
hkl 2 4 3, 2θ = 56.3°, I 21
hkl 5 5 1, 2θ = 66.3°, I 12

Cell and atoms:
abc: 7.7624 20.8428 5.7660
angles: 90.00 90.00 90.00
Space group Cmmm (No. 65)
Unique sites:
Pr  0.0000  0.1295  0.0000 (multiplicity 4)
Pr  0.0000  0.3284  0.0000 (multiplicity 4)
Pr  0.2040  0.3966  0.5000 (multiplicity 8)
Nd  0.0000  0.2398  0.5000 (multiplicity 4)
Ho  0.0000  0.0000  0.5000 (multiplicity 2)
Ho  0.2153  0.5000  0.0000 (multiplicity 4)